This entry pairs a crystal structure of LiHg4Au with its calculated powder diffractogram. Radiation: CuKα. Structure: a structure optimized by DFT (GGA-PBE).

Atomic structure:
a = 6.8756 Å, b = 6.8756 Å, c = 11.6430 Å
α = 90.00°, β = 90.00°, γ = 90.00°
Space group I4/mcm (No. 140)
One atom of each set of equivalent atoms:
Li 0.0000 0.0000 0.0000 [4 per cell]
Hg 0.1626 0.3374 0.1279 [16 per cell]
Au 0.0000 0.0000 0.2500 [4 per cell]

Largest 6 diffraction maxima, sorted by position, 5 to 70 degrees two-theta:
two_theta  I (rel.)  index
30.06  100  2 1 1
35.96  31  1 1 4
37.31  66  2 1 3
40.61  41  2 0 4
41.53  46  3 1 0
65.98  31  3 3 4